This entry pairs a crystal structure of AcLa3Pt8 with its computed X-ray powder pattern. Radiation: copper Kα. Structure: a structure optimized by DFT (GGA-PBE).
Neutral-atom scattering factors, no anomalous dispersion.

Peak list (10 most intense, 2θ from 15° to 90°, sorted by position)
d_spacing	I/Imax
2.787	21
2.595	63
2.386	100
2.335	96
2.309	24
2.139	28
1.569	27
1.519	25
1.467	37
1.393	30

Structure:
Unit cell a=5.574 b=5.574 c=9.235 alpha=90.00 beta=90.00 gamma=120.00
Sites, in units of the cell vectors:
Ac (0.000, 0.000, 0.000)
La (0.000, 0.000, 0.373)
La (0.667, 0.333, 0.496)
La (0.667, 0.333, 0.864)
Pt (0.166, 0.332, 0.682)
Pt (0.166, 0.834, 0.682)
Pt (0.333, 0.667, 0.434)
Pt (0.333, 0.667, 0.934)
Pt (0.501, 0.002, 0.187)
Pt (0.501, 0.499, 0.187)
Pt (0.668, 0.834, 0.682)
Pt (0.998, 0.499, 0.187)